Entry 1:
This entry pairs a crystal structure of Mg3TlHg3 with its calculated X-ray powder pattern. Radiation: Cu Kα, 1.54184 Å. Structure: a crystal structure in Alexandria, relaxed with GGA-PBE.

Largest 6 diffraction maxima, low angle first, 10 to 90 degrees two-theta:
2θ = 22.95°, intensity 41; 2θ = 25.70°, intensity 84; 2θ = 28.21°, intensity 100; 2θ = 42.04°, intensity 24; 2θ = 43.70°, intensity 62; 2θ = 46.90°, intensity 27

Cell and atoms:
a = 7.7496 Å, b = 7.7496 Å, c = 7.7496 Å
α = 90.00°, β = 90.00°, γ = 90.00°
Fractional positions:
Mg (0.0000, 0.2500, 0.5000)
Mg (0.0000, 0.7500, 0.5000)
Mg (0.2500, 0.5000, 0.0000)
Mg (0.5000, 0.0000, 0.2500)
Mg (0.5000, 0.0000, 0.7500)
Mg (0.7500, 0.5000, 0.0000)
Tl (0.0000, 0.0000, 0.0000)
Tl (0.5000, 0.5000, 0.5000)
Hg (0.0000, 0.5000, 0.2500)
Hg (0.0000, 0.5000, 0.7500)
Hg (0.2500, 0.0000, 0.5000)
Hg (0.5000, 0.2500, 0.0000)
Hg (0.5000, 0.7500, 0.0000)
Hg (0.7500, 0.0000, 0.5000)

Entry 2:
This entry pairs a crystal structure of MgTl2Hg5 with its calculated X-ray powder pattern. Radiation: Cu Kα, 1.54184 Å. Structure: a crystal structure in Alexandria, relaxed with GGA-PBE.

Largest 6 diffraction maxima, low angle first, 10 to 90 degrees two-theta:
2θ = 32.90°, intensity 100; 2θ = 33.84°, intensity 96; 2θ = 34.28°, intensity 91; 2θ = 59.06°, intensity 32; 2θ = 59.91°, intensity 29; 2θ = 61.69°, intensity 29

Cell and atoms:
a = 6.5299 Å, b = 6.5318 Å, c = 6.5352 Å
α = 108.87°, β = 106.64°, γ = 112.95°
Fractional positions:
Mg (0.0000, 0.0000, 0.0000)
Tl (0.5009, 0.5295, 0.0282)
Tl (0.5026, 0.0338, 0.5375)
Hg (0.0025, 0.5917, 0.5936)
Hg (0.0052, 0.5133, 0.0586)
Hg (0.4569, 0.5100, 0.5075)
Hg (0.5452, 0.0547, 0.0595)
Hg (0.9978, 0.0519, 0.5089)

Entry 3:
This entry pairs a crystal structure of MgTlHg3 with its calculated X-ray powder pattern. Radiation: Cu Kα, 1.54184 Å. Structure: a crystal structure in Alexandria, relaxed with GGA-PBE.

Largest 6 diffraction maxima, low angle first, 10 to 90 degrees two-theta:
2θ = 17.62°, intensity 51; 2θ = 31.43°, intensity 100; 2θ = 32.38°, intensity 71; 2θ = 34.48°, intensity 62; 2θ = 35.78°, intensity 86; 2θ = 36.65°, intensity 72

Cell and atoms:
a = 7.3745 Å, b = 7.3745 Å, c = 7.3745 Å
α = 131.34°, β = 105.76°, γ = 93.89°
Fractional positions:
Mg (0.0000, 0.0000, 0.0000)
Mg (0.5000, 0.0000, 0.5000)
Tl (0.2557, 0.5057, 0.7500)
Tl (0.7443, 0.4943, 0.2500)
Hg (0.1805, 0.0000, 0.6805)
Hg (0.1805, 0.5000, 0.1805)
Hg (0.4248, 0.1748, 0.2500)
Hg (0.5752, 0.8252, 0.7500)
Hg (0.8195, 0.0000, 0.3195)
Hg (0.8195, 0.5000, 0.8195)

Entry 4:
This entry pairs a crystal structure of Mg5TlHg3 with its calculated X-ray powder pattern. Radiation: Cu Kα, 1.54184 Å. Structure: a crystal structure in Alexandria, relaxed with GGA-PBE.

Largest 6 diffraction maxima, low angle first, 10 to 90 degrees two-theta:
2θ = 23.77°, intensity 32; 2θ = 25.04°, intensity 100; 2θ = 35.42°, intensity 76; 2θ = 35.99°, intensity 77; 2θ = 51.39°, intensity 22; 2θ = 71.12°, intensity 22

Cell and atoms:
a = 8.6440 Å, b = 8.6440 Å, c = 6.2581 Å
α = 90.00°, β = 90.00°, γ = 120.00°
Fractional positions:
Mg (0.0000, 0.3090, 0.2500)
Mg (0.0000, 0.6910, 0.7500)
Mg (0.3090, 0.0000, 0.2500)
Mg (0.3090, 0.3090, 0.7500)
Mg (0.3333, 0.6667, 0.0000)
Mg (0.3333, 0.6667, 0.5000)
Mg (0.6667, 0.3333, 0.0000)
Mg (0.6667, 0.3333, 0.5000)
Mg (0.6910, 0.0000, 0.7500)
Mg (0.6910, 0.6910, 0.2500)
Tl (0.0000, 0.0000, 0.0000)
Tl (0.0000, 0.0000, 0.5000)
Hg (0.0000, 0.3674, 0.7500)
Hg (0.0000, 0.6326, 0.2500)
Hg (0.3674, 0.0000, 0.7500)
Hg (0.3674, 0.3674, 0.2500)
Hg (0.6326, 0.0000, 0.2500)
Hg (0.6326, 0.6326, 0.7500)

Entry 5:
This entry pairs a crystal structure of MgTl4Hg15 with its calculated X-ray powder pattern. Radiation: Cu Kα, 1.54184 Å. Structure: a crystal structure in Alexandria, relaxed with GGA-PBE.

Largest 6 diffraction maxima, low angle first, 10 to 90 degrees two-theta:
2θ = 31.50°, intensity 100; 2θ = 34.22°, intensity 83; 2θ = 35.02°, intensity 71; 2θ = 57.31°, intensity 35; 2θ = 58.93°, intensity 24; 2θ = 63.95°, intensity 27

Cell and atoms:
a = 5.1744 Å, b = 4.1295 Å, c = 25.6761 Å
α = 90.00°, β = 93.35°, γ = 90.00°
Fractional positions:
Mg (0.0000, 0.0000, 0.0000)
Tl (0.1610, 0.0000, 0.1898)
Tl (0.3819, 0.0000, 0.3968)
Tl (0.6181, 0.0000, 0.6032)
Tl (0.8390, 0.0000, 0.8102)
Hg (0.0000, 0.0000, 0.5000)
Hg (0.0814, 0.5000, 0.0876)
Hg (0.1177, 0.5000, 0.6030)
Hg (0.2280, 0.0000, 0.7059)
Hg (0.2703, 0.5000, 0.2940)
Hg (0.3361, 0.5000, 0.8067)
Hg (0.4039, 0.0000, 0.9054)
Hg (0.5000, 0.5000, 0.0000)
Hg (0.5000, 0.5000, 0.5000)
Hg (0.5961, 0.0000, 0.0946)
Hg (0.6639, 0.5000, 0.1933)
Hg (0.7297, 0.5000, 0.7060)
Hg (0.7720, 0.0000, 0.2941)
Hg (0.8823, 0.5000, 0.3970)
Hg (0.9186, 0.5000, 0.9124)

Entry 6:
This entry pairs a crystal structure of MgTl2Hg with its calculated X-ray powder pattern. Radiation: Cu Kα, 1.54184 Å. Structure: a crystal structure in Alexandria, relaxed with GGA-PBE.

Largest 6 diffraction maxima, low angle first, 10 to 90 degrees two-theta:
2θ = 32.54°, intensity 27; 2θ = 33.59°, intensity 100; 2θ = 34.47°, intensity 23; 2θ = 48.13°, intensity 19; 2θ = 58.73°, intensity 21; 2θ = 61.20°, intensity 18

Cell and atoms:
a = 3.7647 Å, b = 5.2032 Å, c = 5.5037 Å
α = 90.00°, β = 90.00°, γ = 90.00°
Fractional positions:
Mg (0.0000, 0.0000, 0.0000)
Tl (0.0000, 0.5000, 0.5000)
Tl (0.5000, 0.5000, 0.0000)
Hg (0.5000, 0.0000, 0.5000)

Entry 7:
This entry pairs a crystal structure of YMg2Hg2 with its calculated X-ray powder pattern. Radiation: Cu Kα, 1.54184 Å. Structure: a crystal structure in Alexandria, relaxed with GGA-PBE.

Largest 6 diffraction maxima, low angle first, 10 to 90 degrees two-theta:
2θ = 20.37°, intensity 53; 2θ = 22.41°, intensity 76; 2θ = 31.29°, intensity 70; 2θ = 33.52°, intensity 100; 2θ = 36.00°, intensity 50; 2θ = 38.87°, intensity 77

Cell and atoms:
a = 4.9889 Å, b = 3.6193 Å, c = 13.0795 Å
α = 90.00°, β = 90.01°, γ = 90.00°
Fractional positions:
Y (0.2494, 0.2500, 0.2548)
Y (0.7506, 0.7500, 0.7452)
Mg (0.2499, 0.7500, 0.4762)
Mg (0.2507, 0.2500, 0.8634)
Mg (0.7493, 0.7500, 0.1366)
Mg (0.7501, 0.2500, 0.5238)
Hg (0.2494, 0.7500, 0.0476)
Hg (0.2505, 0.2500, 0.6514)
Hg (0.7495, 0.7500, 0.3486)
Hg (0.7506, 0.2500, 0.9524)

Entry 8:
This entry pairs a crystal structure of Y5MgHg3 with its calculated X-ray powder pattern. Radiation: Cu Kα, 1.54184 Å. Structure: a crystal structure in Alexandria, relaxed with GGA-PBE.

Largest 6 diffraction maxima, low angle first, 10 to 90 degrees two-theta:
2θ = 23.60°, intensity 35; 2θ = 26.61°, intensity 27; 2θ = 33.18°, intensity 83; 2θ = 34.04°, intensity 100; 2θ = 43.72°, intensity 36; 2θ = 66.12°, intensity 29

Cell and atoms:
a = 9.1234 Å, b = 9.1234 Å, c = 6.6986 Å
α = 90.00°, β = 90.00°, γ = 120.00°
Fractional positions:
Y (0.0000, 0.3080, 0.2500)
Y (0.0000, 0.6920, 0.7500)
Y (0.3080, 0.0000, 0.2500)
Y (0.3080, 0.3080, 0.7500)
Y (0.3333, 0.6667, 0.0000)
Y (0.3333, 0.6667, 0.5000)
Y (0.6667, 0.3333, 0.0000)
Y (0.6667, 0.3333, 0.5000)
Y (0.6920, 0.0000, 0.7500)
Y (0.6920, 0.6920, 0.2500)
Mg (0.0000, 0.0000, 0.0000)
Mg (0.0000, 0.0000, 0.5000)
Hg (0.0000, 0.3576, 0.7500)
Hg (0.0000, 0.6424, 0.2500)
Hg (0.3576, 0.0000, 0.7500)
Hg (0.3576, 0.3576, 0.2500)
Hg (0.6424, 0.0000, 0.2500)
Hg (0.6424, 0.6424, 0.7500)

Entry 9:
This entry pairs a crystal structure of Y2MgHg with its calculated X-ray powder pattern. Radiation: Cu Kα, 1.54184 Å. Structure: a crystal structure in Alexandria, relaxed with GGA-PBE.

Largest 6 diffraction maxima, low angle first, 10 to 90 degrees two-theta:
2θ = 28.29°, intensity 21; 2θ = 30.64°, intensity 100; 2θ = 36.24°, intensity 20; 2θ = 37.26°, intensity 58; 2θ = 49.78°, intensity 26; 2θ = 63.11°, intensity 24

Cell and atoms:
a = 3.6634 Å, b = 3.6634 Å, c = 29.7436 Å
α = 90.00°, β = 90.00°, γ = 120.00°
Fractional positions:
Y (0.0000, 0.0000, 0.2457)
Y (0.0000, 0.0000, 0.7543)
Y (0.3333, 0.6667, 0.4210)
Y (0.3333, 0.6667, 0.9124)
Y (0.6667, 0.3333, 0.0876)
Y (0.6667, 0.3333, 0.5790)
Mg (0.0000, 0.0000, 0.0000)
Mg (0.3333, 0.6667, 0.6667)
Mg (0.6667, 0.3333, 0.3333)
Hg (0.0000, 0.0000, 0.5000)
Hg (0.3333, 0.6667, 0.1667)
Hg (0.6667, 0.3333, 0.8333)

Entry 10:
This entry pairs a crystal structure of Y2Mg12Hg7 with its calculated X-ray powder pattern. Radiation: Cu Kα, 1.54184 Å. Structure: a crystal structure in Alexandria, relaxed with GGA-PBE.

Largest 6 diffraction maxima, low angle first, 10 to 90 degrees two-theta:
2θ = 22.26°, intensity 100; 2θ = 28.21°, intensity 23; 2θ = 29.48°, intensity 29; 2θ = 33.01°, intensity 42; 2θ = 39.07°, intensity 57; 2θ = 39.22°, intensity 27

Cell and atoms:
a = 12.2007 Å, b = 12.2007 Å, c = 3.6991 Å
α = 90.00°, β = 90.00°, γ = 120.00°
Fractional positions:
Y (0.3333, 0.6667, 0.2488)
Y (0.6667, 0.3333, 0.7512)
Mg (0.0632, 0.6184, 0.7502)
Mg (0.0941, 0.8399, 0.2524)
Mg (0.1601, 0.2542, 0.2524)
Mg (0.2542, 0.0941, 0.7476)
Mg (0.3816, 0.4448, 0.7502)
Mg (0.4448, 0.0632, 0.2498)
Mg (0.5552, 0.9368, 0.7502)
Mg (0.6184, 0.5552, 0.2498)
Mg (0.7458, 0.9059, 0.2524)
Mg (0.8399, 0.7458, 0.7476)
Mg (0.9059, 0.1601, 0.7476)
Mg (0.9368, 0.3816, 0.2498)
Hg (0.0000, 0.0000, 0.0000)
Hg (0.1402, 0.4297, 0.7477)
Hg (0.2895, 0.8598, 0.7477)
Hg (0.4297, 0.2895, 0.2523)
Hg (0.5703, 0.7105, 0.7477)
Hg (0.7105, 0.1402, 0.2523)
Hg (0.8598, 0.5703, 0.2523)

Entry 11:
This entry pairs a crystal structure of MgZn2Hg with its calculated X-ray powder pattern. Radiation: Cu Kα, 1.54184 Å. Structure: a crystal structure in Alexandria, relaxed with GGA-PBE.

Largest 6 diffraction maxima, low angle first, 10 to 90 degrees two-theta:
2θ = 21.55°, intensity 21; 2θ = 23.60°, intensity 42; 2θ = 37.08°, intensity 100; 2θ = 42.67°, intensity 34; 2θ = 62.89°, intensity 21; 2θ = 74.43°, intensity 25

Cell and atoms:
a = 4.2381 Å, b = 4.2381 Å, c = 8.2485 Å
α = 90.00°, β = 90.00°, γ = 90.00°
Fractional positions:
Mg (0.0000, 0.0000, 0.0000)
Mg (0.5000, 0.5000, 0.5000)
Zn (0.0000, 0.0000, 0.5000)
Zn (0.0000, 0.5000, 0.7500)
Zn (0.5000, 0.0000, 0.2500)
Zn (0.5000, 0.5000, 0.0000)
Hg (0.0000, 0.5000, 0.2500)
Hg (0.5000, 0.0000, 0.7500)

Entry 12:
This entry pairs a crystal structure of Mg2Zn2Hg with its calculated X-ray powder pattern. Radiation: Cu Kα, 1.54184 Å. Structure: a crystal structure in Alexandria, relaxed with GGA-PBE.

Largest 6 diffraction maxima, low angle first, 10 to 90 degrees two-theta:
2θ = 10.25°, intensity 43; 2θ = 22.76°, intensity 60; 2θ = 30.43°, intensity 49; 2θ = 35.19°, intensity 49; 2θ = 39.05°, intensity 100; 2θ = 40.03°, intensity 48

Cell and atoms:
a = 5.5108 Å, b = 5.5108 Å, c = 9.1668 Å
α = 107.96°, β = 107.96°, γ = 48.25°
Fractional positions:
Mg (0.0519, 0.0519, 0.3531)
Mg (0.1660, 0.1660, 0.0668)
Mg (0.8340, 0.8340, 0.9332)
Mg (0.9481, 0.9481, 0.6469)
Zn (0.3870, 0.3870, 0.3844)
Zn (0.4602, 0.4602, 0.1220)
Zn (0.5398, 0.5398, 0.8780)
Zn (0.6130, 0.6130, 0.6156)
Hg (0.2674, 0.2674, 0.6824)
Hg (0.7326, 0.7326, 0.3176)

Entry 13:
This entry pairs a crystal structure of Mg6ZnHg5 with its calculated X-ray powder pattern. Radiation: Cu Kα, 1.54184 Å. Structure: a crystal structure in Alexandria, relaxed with GGA-PBE.

Largest 6 diffraction maxima, low angle first, 10 to 90 degrees two-theta:
2θ = 24.19°, intensity 76; 2θ = 26.36°, intensity 62; 2θ = 26.58°, intensity 61; 2θ = 36.08°, intensity 100; 2θ = 36.25°, intensity 99; 2θ = 37.56°, intensity 45

Cell and atoms:
a = 4.7891 Å, b = 7.3571 Å, c = 7.4769 Å
α = 90.00°, β = 108.20°, γ = 90.00°
Fractional positions:
Mg (0.0000, 0.2493, 0.0000)
Mg (0.0000, 0.7507, 0.0000)
Mg (0.3370, 0.2573, 0.6696)
Mg (0.3370, 0.7427, 0.6696)
Mg (0.6630, 0.2573, 0.3304)
Mg (0.6630, 0.7427, 0.3304)
Zn (0.5000, 0.5000, 0.0000)
Hg (0.1579, 0.5000, 0.3198)
Hg (0.1671, 0.0000, 0.3365)
Hg (0.5000, 0.0000, 0.0000)
Hg (0.8329, 0.0000, 0.6635)
Hg (0.8421, 0.5000, 0.6802)